Calculated powder XRD pattern of Ba5Fe5O14 for Cu Ka, from a crystal structure in Alexandria, relaxed with PBE+U.
Lines closer than 0.1° are merged.

The 10 most intense peaks (2θ from 15° to 90°), by intensity:
- 2θ 30.30, intensity 100
- 2θ 30.47, intensity 73
- 2θ 25.10, intensity 70
- 2θ 39.85, intensity 56
- 2θ 30.85, intensity 52
- 2θ 27.87, intensity 31
- 2θ 43.71, intensity 19
- 2θ 54.03, intensity 19
- 2θ 54.20, intensity 17
- 2θ 50.72, intensity 17

```
Ba5Fe5O14
1.0
2.9345 -5.1188 0.0000
2.9345 5.1188 0.0000
0.0000 0.0000 24.6700
Ba Fe O
10 10 28
direct
0.0454 0.9546 0.7500
0.3320 0.6680 0.0391
0.3320 0.6680 0.4609
0.3543 0.6457 0.6397
0.3543 0.6457 0.8603
0.6457 0.3543 0.1397
0.6457 0.3543 0.3603
0.6680 0.3320 0.5391
0.6680 0.3320 0.9609
0.9546 0.0454 0.2500
0.0000 0.0000 0.0000
0.0000 0.0000 0.5000
0.0190 0.9810 0.6069
0.0190 0.9810 0.8931
0.3075 0.6925 0.1784
0.3075 0.6925 0.3216
0.6925 0.3075 0.6784
0.6925 0.3075 0.8216
0.9810 0.0190 0.1069
0.9810 0.0190 0.3931
0.1276 0.8724 0.1611
0.1276 0.8724 0.3389
0.1312 0.3616 0.1442
0.1312 0.3616 0.3558
0.1538 0.8462 0.5427
0.1538 0.8462 0.9573
0.1548 0.2887 0.5499
0.1548 0.2887 0.9501
0.2887 0.1548 0.0499
0.2887 0.1548 0.4501
0.3041 0.6959 0.7500
0.3616 0.1312 0.6442
0.3616 0.1312 0.8558
0.3673 0.6327 0.2500
0.6327 0.3673 0.7500
0.6384 0.8688 0.1442
0.6384 0.8688 0.3558
0.6959 0.3041 0.2500
0.7113 0.8452 0.5499
0.7113 0.8452 0.9501
0.8452 0.7113 0.0499
0.8452 0.7113 0.4501
0.8462 0.1538 0.0427
0.8462 0.1538 0.4573
0.8688 0.6384 0.6442
0.8688 0.6384 0.8558
0.8724 0.1276 0.6611
0.8724 0.1276 0.8389
```